For Ga2CoOs2, a DFT-relaxed cell (PBE, Alexandria) gives the calculated powder X-ray diffraction pattern in this record (λ = 1.5418 Å (Cu Kα)).
Lines closer than 0.1° are merged.

```
data_Ga2CoOs2
_chemical_formula_sum 'Ga4 Co2 Os4'
_cell_length_a 6.309
_cell_length_b 6.309
_cell_length_c 3.855
_cell_angle_alpha 90.00
_cell_angle_beta 90.00
_cell_angle_gamma 90.00
_space_group_name_H-M_alt 'P 4/m b m'
_space_group_IT_number 127
_space_group_name_Hall '-P 4 2ab'
loop_
_atom_site_label
_atom_site_fract_x
_atom_site_fract_y
_atom_site_fract_z
Ga1 0.171 0.329 0.000
Co1 0.000 0.000 0.500
Os1 0.137 0.637 0.500
```

Top 12 peaks for 2θ from 10° to 90°, low angle first:
index  2θ/deg  Rel. int.
1 1 0  19.90  15
0 0 1  23.07  28
2 1 0  31.71  18
2 1 1  39.58  100
3 1 0  45.46  25
0 0 2  47.15  17
3 1 1  51.59  15
3 2 1  57.90  14
3 1 2  67.57  16
3 3 2  81.78  8
2 1 3  82.48  12
5 2 1  86.90  14